Structure and theoretical X-ray powder pattern of Sr5Pb4 (the GGA-PBE geometry in the Materials Project; Cu Kα (λ = 1.5418 Å)).
Lines closer than 0.1° are merged.

Principal peaks in the range 5° ≤ 2θ ≤ 70°, by intensity:
- 2θ = 32.73°, intensity 100
- 2θ = 26.94°, intensity 79
- 2θ = 27.47°, intensity 68
- 2θ = 38.43°, intensity 50
- 2θ = 20.73°, intensity 48
- 2θ = 31.91°, intensity 44
- 2θ = 17.40°, intensity 43
- 2θ = 28.24°, intensity 41
- 2θ = 40.73°, intensity 35
- 2θ = 28.98°, intensity 31

Crystal structure
Unit cell a=8.6159 b=17.7075 c=9.0264 alpha=90.00 beta=90.00 gamma=90.00
Element x y z (fractional)
Sr 0.0044 0.0975 0.1783
Sr 0.0044 0.4025 0.1783
Sr 0.1574 0.6236 0.3236
Sr 0.1574 0.8764 0.3236
Sr 0.1731 0.2500 0.4955
Sr 0.3269 0.7500 0.9955
Sr 0.3426 0.1236 0.8236
Sr 0.3426 0.3764 0.8236
Sr 0.4956 0.5975 0.6783
Sr 0.4956 0.9025 0.6783
Sr 0.5044 0.0975 0.3217
Sr 0.5044 0.4025 0.3217
Sr 0.6574 0.6236 0.1764
Sr 0.6574 0.8764 0.1764
Sr 0.6731 0.2500 0.0045
Sr 0.8269 0.7500 0.5045
Sr 0.8426 0.1236 0.6764
Sr 0.8426 0.3764 0.6764
Sr 0.9956 0.5975 0.8217
Sr 0.9956 0.9025 0.8217
Pb 0.0463 0.2500 0.8927
Pb 0.1723 0.0378 0.5248
Pb 0.1723 0.4622 0.5248
Pb 0.2023 0.7500 0.6363
Pb 0.2977 0.2500 0.1363
Pb 0.3277 0.5378 0.0248
Pb 0.3277 0.9622 0.0248
Pb 0.4537 0.7500 0.3927
Pb 0.5463 0.2500 0.6073
Pb 0.6723 0.0378 0.9752
Pb 0.6723 0.4622 0.9752
Pb 0.7023 0.7500 0.8637
Pb 0.7977 0.2500 0.3637
Pb 0.8277 0.5378 0.4752
Pb 0.8277 0.9622 0.4752
Pb 0.9537 0.7500 0.1073



Structure and theoretical X-ray powder pattern of Sr2ZnPb (the GGA-PBE geometry in the Materials Project; Cu Kα (λ = 1.5418 Å)).
Lines closer than 0.1° are merged.

Principal peaks in the range 5° ≤ 2θ ≤ 70°, by intensity:
- 2θ = 31.24°, intensity 100
- 2θ = 55.60°, intensity 39
- 2θ = 44.76°, intensity 19
- 2θ = 18.98°, intensity 18
- 2θ = 65.16°, intensity 12
- 2θ = 36.81°, intensity 11
- 2θ = 21.95°, intensity 5
- 2θ = 49.03°, intensity 5
- 2θ = 68.55°, intensity 4
- 2θ = 59.29°, intensity 4

Crystal structure
Unit cell a=5.7265 b=5.7265 c=5.7265 alpha=60.00 beta=60.00 gamma=60.00
Element x y z (fractional)
Sr 0.2500 0.2500 0.2500
Sr 0.7500 0.7500 0.7500
Zn 0.0000 0.0000 0.0000
Pb 0.5000 0.5000 0.5000



Structure and theoretical X-ray powder pattern of Ta3Pb (the GGA-PBE geometry in the Materials Project; Cu Kα (λ = 1.5418 Å)).
Lines closer than 0.1° are merged.

Principal peaks in the range 5° ≤ 2θ ≤ 70°, by intensity:
- 2θ = 36.48°, intensity 100
- 2θ = 42.38°, intensity 50
- 2θ = 61.48°, intensity 34

Crystal structure
Unit cell a=4.2659 b=4.2659 c=4.2659 alpha=90.00 beta=90.00 gamma=90.00
Element x y z (fractional)
Ta 0.0000 0.0000 0.5000
Ta 0.0000 0.5000 0.0000
Ta 0.5000 0.0000 0.0000
Pb 0.5000 0.5000 0.5000



Structure and theoretical X-ray powder pattern of Tb5Pb4 (the GGA-PBE geometry in the Materials Project; Cu Kα (λ = 1.5418 Å)).
Lines closer than 0.1° are merged.

Principal peaks in the range 5° ≤ 2θ ≤ 70°, by intensity:
- 2θ = 29.39°, intensity 100
- 2θ = 33.18°, intensity 61
- 2θ = 34.55°, intensity 57
- 2θ = 29.51°, intensity 40
- 2θ = 30.50°, intensity 38
- 2θ = 34.34°, intensity 34
- 2θ = 34.82°, intensity 32
- 2θ = 32.15°, intensity 32
- 2θ = 34.02°, intensity 31
- 2θ = 31.19°, intensity 27

Crystal structure
Unit cell a=8.2505 b=15.8159 c=8.3305 alpha=90.00 beta=90.00 gamma=90.00
Element x y z (fractional)
Tb 0.0338 0.1003 0.1775
Tb 0.0338 0.3997 0.1775
Tb 0.1231 0.6199 0.3408
Tb 0.1231 0.8801 0.3408
Tb 0.2083 0.2500 0.5037
Tb 0.2917 0.7500 0.0037
Tb 0.3769 0.1199 0.8408
Tb 0.3769 0.3801 0.8408
Tb 0.4662 0.6003 0.6775
Tb 0.4662 0.8997 0.6775
Tb 0.5338 0.1003 0.3225
Tb 0.5338 0.3997 0.3225
Tb 0.6231 0.6199 0.1592
Tb 0.6231 0.8801 0.1592
Tb 0.7083 0.2500 0.9963
Tb 0.7917 0.7500 0.4963
Tb 0.8769 0.1199 0.6592
Tb 0.8769 0.3801 0.6592
Tb 0.9662 0.6003 0.8225
Tb 0.9662 0.8997 0.8225
Pb 0.0719 0.2500 0.8728
Pb 0.1562 0.7500 0.6503
Pb 0.2188 0.0425 0.5320
Pb 0.2188 0.4575 0.5320
Pb 0.2812 0.5425 0.0320
Pb 0.2812 0.9575 0.0320
Pb 0.3438 0.2500 0.1503
Pb 0.4281 0.7500 0.3728
Pb 0.5719 0.2500 0.6272
Pb 0.6562 0.7500 0.8497
Pb 0.7188 0.0425 0.9680
Pb 0.7188 0.4575 0.9680
Pb 0.7812 0.5425 0.4680
Pb 0.7812 0.9575 0.4680
Pb 0.8438 0.2500 0.3497
Pb 0.9281 0.7500 0.1272



Structure and theoretical X-ray powder pattern of TbPb3 (the GGA-PBE geometry in the Materials Project; Cu Kα (λ = 1.5418 Å)).
Lines closer than 0.1° are merged.

Principal peaks in the range 5° ≤ 2θ ≤ 70°, by intensity:
- 2θ = 31.62°, intensity 100
- 2θ = 36.67°, intensity 51
- 2θ = 62.89°, intensity 43
- 2θ = 52.83°, intensity 36
- 2θ = 66.03°, intensity 13
- 2θ = 18.10°, intensity 1
- 2θ = 25.71°, intensity 1
- 2θ = 41.19°, intensity 1

Crystal structure
Unit cell a=4.9011 b=4.9011 c=4.9011 alpha=90.00 beta=90.00 gamma=90.00
Element x y z (fractional)
Tb 0.0000 0.0000 0.0000
Pb 0.0000 0.5000 0.5000
Pb 0.5000 0.0000 0.5000
Pb 0.5000 0.5000 0.0000



Structure and theoretical X-ray powder pattern of Tb5Pb3 (the GGA-PBE geometry in the Materials Project; Cu Kα (λ = 1.5418 Å)).
Lines closer than 0.1° are merged.

Principal peaks in the range 5° ≤ 2θ ≤ 70°, by intensity:
- 2θ = 32.97°, intensity 100
- 2θ = 33.30°, intensity 72
- 2θ = 34.19°, intensity 39
- 2θ = 51.26°, intensity 29
- 2θ = 26.69°, intensity 24
- 2θ = 30.05°, intensity 24
- 2θ = 65.59°, intensity 21
- 2θ = 43.64°, intensity 18
- 2θ = 48.47°, intensity 15
- 2θ = 58.06°, intensity 12

Crystal structure
Unit cell a=9.0844 b=9.0844 c=6.6789 alpha=90.00 beta=90.00 gamma=120.00
Element x y z (fractional)
Tb 0.0000 0.2389 0.2500
Tb 0.0000 0.7611 0.7500
Tb 0.2389 0.0000 0.2500
Tb 0.2389 0.2389 0.7500
Tb 0.3333 0.6667 0.0000
Tb 0.3333 0.6667 0.5000
Tb 0.6667 0.3333 0.0000
Tb 0.6667 0.3333 0.5000
Tb 0.7611 0.0000 0.7500
Tb 0.7611 0.7611 0.2500
Pb 0.0000 0.3942 0.7500
Pb 0.0000 0.6058 0.2500
Pb 0.3942 0.0000 0.7500
Pb 0.3942 0.3942 0.2500
Pb 0.6058 0.0000 0.2500
Pb 0.6058 0.6058 0.7500



Structure and theoretical X-ray powder pattern of Tc3Pb (the GGA-PBE geometry in the Materials Project; Cu Kα (λ = 1.5418 Å)).
Lines closer than 0.1° are merged.

Principal peaks in the range 5° ≤ 2θ ≤ 70°, by intensity:
- 2θ = 40.94°, intensity 100
- 2θ = 39.72°, intensity 25
- 2θ = 35.60°, intensity 25
- 2θ = 26.42°, intensity 17
- 2θ = 63.93°, intensity 17
- 2θ = 54.39°, intensity 14
- 2θ = 30.70°, intensity 7
- 2θ = 51.02°, intensity 4
- 2θ = 47.70°, intensity 3
- 2θ = 63.76°, intensity 3

Crystal structure
Unit cell a=5.8247 b=5.8247 c=4.5386 alpha=90.00 beta=90.00 gamma=120.00
Element x y z (fractional)
Tc 0.1558 0.3117 0.2500
Tc 0.1558 0.8442 0.2500
Tc 0.3117 0.1558 0.7500
Tc 0.6883 0.8442 0.2500
Tc 0.8442 0.1558 0.7500
Tc 0.8442 0.6883 0.7500
Pb 0.3333 0.6667 0.7500
Pb 0.6667 0.3333 0.2500



Structure and theoretical X-ray powder pattern of TePb3 (the GGA-PBE geometry in the Materials Project; Cu Kα (λ = 1.5418 Å)).
Lines closer than 0.1° are merged.

Principal peaks in the range 5° ≤ 2θ ≤ 70°, by intensity:
- 2θ = 30.71°, intensity 100
- 2θ = 37.12°, intensity 30
- 2θ = 62.97°, intensity 27
- 2θ = 50.08°, intensity 26
- 2θ = 32.39°, intensity 22
- 2θ = 56.73°, intensity 18
- 2θ = 63.95°, intensity 13
- 2θ = 53.51°, intensity 11
- 2θ = 20.01°, intensity 3
- 2θ = 67.82°, intensity 3

Crystal structure
Unit cell a=6.5025 b=6.5025 c=6.5025 alpha=136.27 beta=136.27 gamma=63.57
Element x y z (fractional)
Te 0.0000 0.0000 0.0000
Pb 0.2500 0.7500 0.5000
Pb 0.5000 0.5000 0.0000
Pb 0.7500 0.2500 0.5000



Structure and theoretical X-ray powder pattern of TePb (the GGA-PBE geometry in the Materials Project; Cu Kα (λ = 1.5418 Å)).
Lines closer than 0.1° are merged.

Principal peaks in the range 5° ≤ 2θ ≤ 70°, by intensity:
- 2θ = 27.16°, intensity 100
- 2θ = 38.79°, intensity 79
- 2θ = 63.35°, intensity 38
- 2θ = 48.00°, intensity 29
- 2θ = 56.03°, intensity 14
- 2θ = 23.47°, intensity 11
- 2θ = 45.84°, intensity 6
- 2θ = 61.57°, intensity 3

Crystal structure
Unit cell a=4.6426 b=4.6426 c=4.6426 alpha=60.00 beta=60.00 gamma=60.00
Element x y z (fractional)
Te 0.0000 0.0000 0.0000
Pb 0.5000 0.5000 0.5000



Structure and theoretical X-ray powder pattern of TePb (the GGA-PBE geometry in the Materials Project; Cu Kα (λ = 1.5418 Å)).
Lines closer than 0.1° are merged.

Principal peaks in the range 5° ≤ 2θ ≤ 70°, by intensity:
- 2θ = 28.04°, intensity 100
- 2θ = 42.64°, intensity 46
- 2θ = 25.57°, intensity 45
- 2θ = 27.30°, intensity 23
- 2θ = 38.67°, intensity 21
- 2θ = 46.94°, intensity 18
- 2θ = 33.53°, intensity 18
- 2θ = 12.71°, intensity 16
- 2θ = 56.34°, intensity 13
- 2θ = 37.75°, intensity 12

Crystal structure
Unit cell a=13.9341 b=4.6567 c=4.5875 alpha=90.00 beta=90.00 gamma=90.00
Element x y z (fractional)
Te 0.1297 0.2500 0.0582
Te 0.3703 0.7500 0.5582
Te 0.6297 0.2500 0.4418
Te 0.8703 0.7500 0.9418
Pb 0.1521 0.7500 0.5664
Pb 0.3479 0.2500 0.0664
Pb 0.6521 0.7500 0.9336
Pb 0.8479 0.2500 0.4336



Structure and theoretical X-ray powder pattern of TePb (the GGA-PBE geometry in the Materials Project; Cu Kα (λ = 1.5418 Å)).
Lines closer than 0.1° are merged.

Principal peaks in the range 5° ≤ 2θ ≤ 70°, by intensity:
- 2θ = 31.17°, intensity 100
- 2θ = 25.10°, intensity 44
- 2θ = 28.45°, intensity 38
- 2θ = 38.36°, intensity 36
- 2θ = 42.83°, intensity 32
- 2θ = 22.72°, intensity 26
- 2θ = 32.99°, intensity 23
- 2θ = 44.82°, intensity 22
- 2θ = 27.27°, intensity 22
- 2θ = 60.44°, intensity 19

Crystal structure
Unit cell a=8.4387 b=4.6911 c=7.0945 alpha=90.00 beta=90.00 gamma=90.00
Element x y z (fractional)
Te 0.1931 0.2500 0.1196
Te 0.3069 0.7500 0.6196
Te 0.6931 0.2500 0.3804
Te 0.8069 0.7500 0.8804
Pb 0.0424 0.2500 0.7249
Pb 0.4576 0.7500 0.2249
Pb 0.5424 0.2500 0.7751
Pb 0.9576 0.7500 0.2751



Structure and theoretical X-ray powder pattern of TePb3 (the GGA-PBE geometry in the Materials Project; Cu Kα (λ = 1.5418 Å)).
Lines closer than 0.1° are merged.

Principal peaks in the range 5° ≤ 2θ ≤ 70°, by intensity:
- 2θ = 32.90°, intensity 100
- 2θ = 29.97°, intensity 28
- 2θ = 55.09°, intensity 24
- 2θ = 60.95°, intensity 23
- 2θ = 29.18°, intensity 23
- 2θ = 51.74°, intensity 19
- 2θ = 42.32°, intensity 17
- 2θ = 62.68°, intensity 16
- 2θ = 68.99°, intensity 4
- 2θ = 62.28°, intensity 4

Crystal structure
Unit cell a=7.0673 b=7.0673 c=5.9632 alpha=90.00 beta=90.00 gamma=120.00
Element x y z (fractional)
Te 0.3333 0.6667 0.2500
Te 0.6667 0.3333 0.7500
Pb 0.1674 0.3348 0.7500
Pb 0.1674 0.8326 0.7500
Pb 0.3348 0.1674 0.2500
Pb 0.6652 0.8326 0.7500
Pb 0.8326 0.1674 0.2500
Pb 0.8326 0.6652 0.2500